Structure and simulated powder XRD pattern of SmScO3 (a structure optimized by DFT (GGA-PBE); CuKα).
No peak broadening, texture or thermal motion is included.

Crystal structure
a b c (Å): 5.8134 8.0445 5.5523
angles (deg): 90.00 90.00 90.00
Atoms (fractional coordinates):
Sm 0.0593 0.2500 0.0176
Sm 0.4407 0.7500 0.5176
Sm 0.5593 0.2500 0.4824
Sm 0.9407 0.7500 0.9824
Sc 0.0000 0.0000 0.5000
Sc 0.0000 0.5000 0.5000
Sc 0.5000 0.0000 0.0000
Sc 0.5000 0.5000 0.0000
O 0.0476 0.7500 0.3817
O 0.1969 0.5622 0.8047
O 0.1969 0.9378 0.8047
O 0.3031 0.0622 0.3047
O 0.3031 0.4378 0.3047
O 0.4524 0.2500 0.8817
O 0.5476 0.7500 0.1183
O 0.6969 0.5622 0.6953
O 0.6969 0.9378 0.6953
O 0.8031 0.0622 0.1953
O 0.8031 0.4378 0.1953
O 0.9524 0.2500 0.6183

Peak list (10 most intense, 2θ from 10° to 90°, by intensity)
| 2theta | Rel. int. |
| --- | --- |
| 31.48 | 100 |
| 22.12 | 49 |
| 45.13 | 33 |
| 32.24 | 23 |
| 57.02 | 23 |
| 30.76 | 19 |
| 51.21 | 19 |
| 24.78 | 19 |
| 74.64 | 14 |
| 39.44 | 14 |

Structure and simulated powder XRD pattern of CoSiMo (a structure optimized by DFT (GGA-PBE); CuKα).
No peak broadening, texture or thermal motion is included.

Crystal structure
a b c (Å): 7.4524 4.7707 4.7707
angles (deg): 61.10 90.00 90.00
Atoms (fractional coordinates):
Co 0.0000 0.2430 0.7570
Co 0.0000 0.7570 0.2430
Co 0.2624 0.5972 0.5972
Co 0.7376 0.5972 0.5972
Si 0.0000 0.7556 0.7556
Si 0.5000 0.4274 0.4274
Si 0.5000 0.4294 0.9361
Si 0.5000 0.9361 0.4294
Mo 0.1873 0.2657 0.2657
Mo 0.3168 0.9335 0.9335
Mo 0.6832 0.9335 0.9335
Mo 0.8127 0.2657 0.2657

Peak list (10 most intense, 2θ from 10° to 90°, by intensity)
| 2theta | Rel. int. |
| --- | --- |
| 45.12 | 100 |
| 37.72 | 56 |
| 42.33 | 52 |
| 44.58 | 43 |
| 42.53 | 36 |
| 78.93 | 24 |
| 37.07 | 21 |
| 72.47 | 15 |
| 45.82 | 15 |
| 80.56 | 15 |

Structure and simulated powder XRD pattern of Sr2Mg (a structure optimized by DFT (GGA-PBE); CuKα).
No peak broadening, texture or thermal motion is included.

Crystal structure
a b c (Å): 7.8352 7.8352 8.4538
angles (deg): 106.26 106.26 31.18
Atoms (fractional coordinates):
Sr 0.1416 0.1416 0.0685
Sr 0.1427 0.1427 0.5754
Sr 0.8573 0.8573 0.4246
Sr 0.8584 0.8584 0.9315
Mg 0.4962 0.4962 0.7488
Mg 0.5038 0.5038 0.2512

Peak list (10 most intense, 2θ from 10° to 90°, by intensity)
| 2theta | Rel. int. |
| --- | --- |
| 28.19 | 100 |
| 29.95 | 69 |
| 21.98 | 38 |
| 27.94 | 34 |
| 24.66 | 25 |
| 52.20 | 23 |
| 39.01 | 15 |
| 39.33 | 14 |
| 21.84 | 14 |
| 42.79 | 13 |

Structure and simulated powder XRD pattern of MgSb2 (a structure optimized by DFT (GGA-PBE); CuKα).
No peak broadening, texture or thermal motion is included.

Crystal structure
a b c (Å): 9.1263 9.1263 5.3799
angles (deg): 90.00 90.00 159.52
Atoms (fractional coordinates):
Mg 0.2087 0.7913 0.7500
Mg 0.7913 0.2087 0.2500
Sb 0.1486 0.8514 0.2500
Sb 0.4563 0.5437 0.2500
Sb 0.5437 0.4563 0.7500
Sb 0.8514 0.1486 0.7500

Peak list (10 most intense, 2θ from 10° to 90°, by intensity)
| 2theta | Rel. int. |
| --- | --- |
| 31.35 | 100 |
| 34.28 | 85 |
| 25.84 | 84 |
| 35.62 | 67 |
| 46.39 | 66 |
| 33.31 | 66 |
| 56.77 | 44 |
| 32.61 | 43 |
| 48.28 | 24 |
| 67.98 | 22 |

Structure and simulated powder XRD pattern of UCo2Sn (a structure optimized by DFT (GGA-PBE); CuKα).
No peak broadening, texture or thermal motion is included.

Crystal structure
a b c (Å): 9.3155 4.3021 6.6267
angles (deg): 90.00 90.00 90.00
Atoms (fractional coordinates):
U 0.1005 0.2500 0.1892
U 0.3995 0.7500 0.6892
U 0.6005 0.2500 0.3108
U 0.8995 0.7500 0.8108
Co 0.1204 0.7500 0.4680
Co 0.1749 0.7500 0.9141
Co 0.3251 0.2500 0.4141
Co 0.3796 0.2500 0.9680
Co 0.6204 0.7500 0.0320
Co 0.6749 0.7500 0.5859
Co 0.8251 0.2500 0.0859
Co 0.8796 0.2500 0.5320
Sn 0.1391 0.2500 0.7022
Sn 0.3609 0.7500 0.2022
Sn 0.6391 0.2500 0.7978
Sn 0.8609 0.7500 0.2978

Peak list (10 most intense, 2θ from 10° to 90°, by intensity)
| 2theta | Rel. int. |
| --- | --- |
| 39.40 | 100 |
| 35.53 | 54 |
| 28.24 | 52 |
| 42.01 | 49 |
| 38.66 | 34 |
| 58.40 | 20 |
| 45.23 | 19 |
| 24.67 | 19 |
| 26.91 | 18 |
| 74.99 | 16 |